Entry 1:
Calculated PXRD pattern of Tl5Fe3 for CuKα, from a crystal structure in Alexandria, relaxed with PBE.
Kinematic intensities with the Lorentz-polarization factor, no thermal factor.

Principal peaks in the range 5° ≤ 2θ ≤ 70°, in order of falling intensity:
two_theta  d (Å)  intensity
30.35  2.945  100.0
32.07  2.791  77.9
34.25  2.618  71.1
33.50  2.675  54.9
29.87  2.991  54.5
27.02  3.300  53.6
32.99  2.715  46.3
28.29  3.155  45.4

Cell: 5.9916 6.5015 10.0072 Å, 83.84 74.79 79.76°
Element x y z (fractional)
Tl 0.0324 0.2230 0.0283
Tl 0.2404 0.9386 0.5886
Tl 0.2414 0.4238 0.6843
Tl 0.2897 0.8486 0.2327
Tl 0.3145 0.3300 0.2965
Tl 0.6855 0.6700 0.7035
Tl 0.7103 0.1514 0.7673
Tl 0.7586 0.5762 0.3157
Tl 0.7596 0.0614 0.4114
Tl 0.9676 0.7770 0.9717
Fe 0.0402 0.6668 0.4705
Fe 0.3803 0.4756 0.9282
Fe 0.4634 0.8353 0.9535
Fe 0.5366 0.1647 0.0465
Fe 0.6197 0.5244 0.0718
Fe 0.9598 0.3332 0.5295

Entry 2:
Calculated PXRD pattern of Tl5Fe for CuKα, from a crystal structure in Alexandria, relaxed with PBE.
Kinematic intensities with the Lorentz-polarization factor, no thermal factor.

Principal peaks in the range 5° ≤ 2θ ≤ 70°, in order of falling intensity:
two_theta  d (Å)  intensity
27.28  3.270  100.0
36.33  2.473  67.2
29.32  3.046  28.3
38.77  2.323  26.2
39.14  2.301  22.8
42.50  2.127  21.1
63.48  1.465  20.7
44.29  2.045  18.2

Cell: 11.7392 11.7392 3.1588 Å, 90.00 90.00 157.18°
Element x y z (fractional)
Tl 0.0000 0.0000 0.0000
Tl 0.1974 0.8026 0.5000
Tl 0.3916 0.6084 0.0000
Tl 0.6084 0.3916 0.0000
Tl 0.8026 0.1974 0.5000
Fe 0.5000 0.5000 0.5000

Entry 3:
Calculated PXRD pattern of TlFe for CuKα, from a crystal structure in Alexandria, relaxed with PBE.
Kinematic intensities with the Lorentz-polarization factor, no thermal factor.

Principal peaks in the range 5° ≤ 2θ ≤ 70°, in order of falling intensity:
two_theta  d (Å)  intensity
30.99  2.886  100.0
32.88  2.724  92.6
40.14  2.246  78.0
30.08  2.971  52.3
50.96  1.792  40.6
50.52  1.807  29.9
40.86  2.209  29.6
33.09  2.707  26.5

Cell: 3.0653 6.7982 6.7982 Å, 121.89 90.00 90.00°
Element x y z (fractional)
Tl 0.0000 0.0000 0.0000
Tl 0.5000 0.4472 0.9209
Tl 0.5000 0.9209 0.4472
Fe 0.0000 0.3026 0.5010
Fe 0.0000 0.5010 0.3026
Fe 0.5000 0.6212 0.6212

Entry 4:
Calculated PXRD pattern of TlFeW2 for CuKα, from a crystal structure in Alexandria, relaxed with PBE.
Kinematic intensities with the Lorentz-polarization factor, no thermal factor.

Principal peaks in the range 5° ≤ 2θ ≤ 70°, in order of falling intensity:
two_theta  d (Å)  intensity
37.71  2.385  100.0
38.62  2.331  86.8
41.51  2.175  39.2
42.94  2.106  35.9
61.26  1.513  25.0
48.41  1.880  17.0
26.17  3.406  16.0
15.31  5.787  14.2

Cell: 2.8289 4.2126 5.8484 Å, 90.00 98.32 90.00°
Element x y z (fractional)
Tl 0.0000 0.0000 0.0000
Fe 0.4824 0.5000 0.7223
W 0.0241 0.0000 0.5125
W 0.6184 0.5000 0.2987

Entry 5:
Calculated PXRD pattern of Zr2TlFe for CuKα, from a crystal structure in Alexandria, relaxed with PBE.
Kinematic intensities with the Lorentz-polarization factor, no thermal factor.

Principal peaks in the range 5° ≤ 2θ ≤ 70°, in order of falling intensity:
two_theta  d (Å)  intensity
34.51  2.599  100.0
38.65  2.330  56.6
41.66  2.168  43.9
35.67  2.517  38.8
42.35  2.134  30.1
26.32  3.386  23.7
67.88  1.381  21.3
56.54  1.628  20.8

Cell: 3.4289 4.2680 5.8165 Å, 90.00 107.06 90.00°
Element x y z (fractional)
Zr 0.0000 0.0000 0.0000
Zr 0.3294 0.5000 0.6622
Tl 0.7199 0.0000 0.4422
Fe 0.5506 0.5000 0.0975

Entry 6:
Calculated PXRD pattern of TmFe4 for CuKα, from a crystal structure in Alexandria, relaxed with PBE.
Kinematic intensities with the Lorentz-polarization factor, no thermal factor.

Principal peaks in the range 5° ≤ 2θ ≤ 70°, in order of falling intensity:
two_theta  d (Å)  intensity
19.49  4.554  100.0
39.58  2.277  95.5
27.70  3.220  85.3
57.21  1.610  61.9
44.49  2.037  47.8
49.00  1.859  36.2
61.04  1.518  23.5
64.73  1.440  15.8

Cell: 4.5540 4.5540 4.5540 Å, 90.00 90.00 90.00°
Element x y z (fractional)
Tm 0.0000 0.0000 0.0000
Fe 0.0000 0.0000 0.5000
Fe 0.0000 0.5000 0.0000
Fe 0.5000 0.0000 0.0000
Fe 0.5000 0.5000 0.5000